(1)
The following is a theoretical PXRD pattern of Er2PO6. It was derived from a crystal structure in Alexandria, relaxed with GGA-PBE, using a wavelength of 1.5418 Å.
Lines closer than 0.1° are merged.

Structure:
```
Er2PO6
1.0
4.7658 0.0000 0.0000
0.0000 4.7658 0.0000
0.0000 0.0000 9.5140
Er P O
4 2 12
Direct
0.0000 0.0000 0.1678
0.0000 0.0000 0.8322
0.5000 0.5000 0.3322
0.5000 0.5000 0.6678
0.0000 0.0000 0.5000
0.5000 0.5000 0.0000
0.1762 0.1762 0.3680
0.1762 0.1762 0.6320
0.2454 0.2454 0.0000
0.2546 0.7454 0.5000
0.3238 0.6762 0.1320
0.3238 0.6762 0.8680
0.6762 0.3238 0.1320
0.6762 0.3238 0.8680
0.7454 0.2546 0.5000
0.7546 0.7546 0.0000
0.8238 0.8238 0.3680
0.8238 0.8238 0.6320
```

Main lines, most intense first (10 to 90 degrees two-theta):
2θ (°)	intensity
26.4	100
34.0	83
51.7	69
20.8	30
37.8	27
65.8	22


(2)
The following is a theoretical PXRD pattern of Er2P4O13. It was derived from a crystal structure in Alexandria, relaxed with GGA-PBE, using a wavelength of 1.5418 Å.
Lines closer than 0.1° are merged.

Structure:
```
Er2P4O13
1.0
5.9664 -3.3946 0.0000
5.9664 3.3946 0.0000
-3.7497 0.0000 12.3838
Er P O
4 8 26
Direct
0.1897 0.1992 0.0498
0.1992 0.1897 0.5498
0.8008 0.8103 0.4502
0.8103 0.8008 0.9502
0.2513 0.2765 0.3389
0.2765 0.2513 0.8389
0.3282 0.6483 0.1336
0.3517 0.6718 0.3664
0.6483 0.3282 0.6336
0.6718 0.3517 0.8664
0.7235 0.7487 0.1611
0.7487 0.7235 0.6611
0.0513 0.4222 0.4042
0.0802 0.4216 0.9041
0.1607 0.8220 0.0575
0.1780 0.8393 0.4425
0.1895 0.2041 0.2208
0.2041 0.1895 0.7208
0.2425 0.7575 0.2500
0.3692 0.4068 0.1034
0.3787 0.4226 0.3463
0.4068 0.3692 0.6034
0.4222 0.0513 0.9042
0.4216 0.0802 0.4041
0.4226 0.3787 0.8463
0.5774 0.6213 0.1537
0.5784 0.9198 0.5959
0.5778 0.9487 0.0958
0.5932 0.6308 0.3966
0.6213 0.5774 0.6537
0.6308 0.5932 0.8966
0.7575 0.2425 0.7500
0.7959 0.8105 0.2792
0.8105 0.7959 0.7792
0.8220 0.1607 0.5575
0.8393 0.1780 0.9425
0.9198 0.5784 0.0959
0.9487 0.5778 0.5958
```

Main lines, most intense first (10 to 90 degrees two-theta):
2θ (°)	intensity
30.6	100
15.5	63
14.3	49
19.3	43
26.8	36
26.3	35


(3)
The following is a theoretical PXRD pattern of ErP2O2. It was derived from a crystal structure in Alexandria, relaxed with GGA-PBE, using a wavelength of 1.5418 Å.
Lines closer than 0.1° are merged.

Structure:
```
ErP2O2
1.0
-5.2278 5.2278 6.5924
5.2278 -5.2278 6.5924
5.2278 5.2278 -6.5924
Er P O
4 8 8
Direct
0.0000 0.0000 0.0000
0.0000 0.0000 0.5000
0.0000 0.5000 0.0000
0.5000 0.0000 0.5000
0.1030 0.7435 0.3594
0.1159 0.2565 0.8594
0.2565 0.1159 0.3594
0.2565 0.8970 0.1406
0.7435 0.1030 0.8594
0.7435 0.8841 0.6406
0.8841 0.7435 0.1406
0.8970 0.2565 0.6406
0.1044 0.1573 0.9471
0.1573 0.1044 0.4471
0.1573 0.7102 0.0529
0.2898 0.8427 0.4471
0.7102 0.1573 0.5529
0.8427 0.2898 0.9471
0.8427 0.8956 0.5529
0.8956 0.8427 0.0529
```

Main lines, most intense first (10 to 90 degrees two-theta):
2θ (°)	intensity
10.8	100
21.7	22
41.0	20
24.1	17
31.6	15
20.1	12